The following is a simulated PXRD pattern of Sr2SnH8O8. It was derived from a DFT-relaxed cell (GGA-PBE, Alexandria), using λ = 1.5418 Å (Cu Kα).

Structural model:
abc: 6.9114 10.6737 5.9662
angles: 90.00 114.90 90.00
Element x y z (fractional)
Sr1 0.2098 0.1180 0.3556
Sr2 0.2098 0.3820 0.8556
Sr3 0.7902 0.6180 0.1444
Sr4 0.7902 0.8820 0.6444
Sn1 0.5000 0.0000 0.0000
Sn2 0.5000 0.5000 0.5000
H1 0.0705 0.7083 0.8503
H2 0.0705 0.7917 0.3503
H3 0.1763 0.6114 0.5258
H4 0.1763 0.8886 0.0258
H5 0.2747 0.6341 0.1180
H6 0.2747 0.8659 0.6180
H7 0.4657 0.7248 0.6430
H8 0.4657 0.7752 0.1430
H9 0.5343 0.2248 0.8570
H10 0.5343 0.2752 0.3570
H11 0.7253 0.1341 0.3820
H12 0.7253 0.3659 0.8820
H13 0.8237 0.1114 0.9742
H14 0.8237 0.3886 0.4742
H15 0.9295 0.2083 0.6497
H16 0.9295 0.2917 0.1497
O1 0.0632 0.7349 0.0037
O2 0.0632 0.7651 0.5037
O3 0.2004 0.5217 0.4943
O4 0.2004 0.9783 0.9943
O5 0.3946 0.5738 0.1433
O6 0.3946 0.9262 0.6433
O7 0.4045 0.1780 0.8309
O8 0.4045 0.3220 0.3309
O9 0.5955 0.6780 0.6691
O10 0.5955 0.8220 0.1691
O11 0.6054 0.0738 0.3567
O12 0.6054 0.4262 0.8567
O13 0.7996 0.0217 0.0057
O14 0.7996 0.4783 0.5057
O15 0.9368 0.2349 0.4963
O16 0.9368 0.2651 0.9963

The 10 most intense peaks (2θ = 5–70°), low angle first:
two_theta, d [Å], I/Imax
16.40, 5.405, 54.2
16.61, 5.337, 44.7
21.87, 4.064, 54.5
23.41, 3.800, 46.4
23.52, 3.783, 41.3
27.23, 3.276, 66.9
27.50, 3.243, 100.0
29.96, 2.983, 34.4
30.08, 2.970, 82.5
44.60, 2.032, 33.5

---

The following is a simulated PXRD pattern of SrH16O10. It was derived from a DFT-relaxed cell (GGA-PBE, Alexandria), using λ = 1.5418 Å (Cu Kα).

Structural model:
abc: 6.6555 6.6555 11.2517
angles: 96.65 96.65 78.31
Element x y z (fractional)
Sr1 0.0143 0.9857 0.5000
Sr2 0.9857 0.0143 0.0000
H1 0.0110 0.4196 0.6340
H2 0.0121 0.5476 0.3587
H3 0.0589 0.4708 0.1054
H4 0.1759 0.7329 0.7551
H5 0.1814 0.3316 0.2025
H6 0.1860 0.5291 0.5356
H7 0.2137 0.3107 0.8787
H8 0.3048 0.8995 0.2708
H9 0.3107 0.2137 0.3787
H10 0.3301 0.7031 0.8711
H11 0.3316 0.1814 0.7025
H12 0.3785 0.6243 0.5816
H13 0.3854 0.4310 0.3798
H14 0.4124 0.7842 0.3831
H15 0.4196 0.0110 0.1340
H16 0.4310 0.3854 0.8798
H17 0.4415 0.7655 0.0879
H18 0.4708 0.0589 0.6054
H19 0.5291 0.1860 0.0356
H20 0.5476 0.0121 0.8587
H21 0.6243 0.3785 0.0816
H22 0.6306 0.7722 0.8769
H23 0.6794 0.7787 0.5859
H24 0.7031 0.3301 0.3711
H25 0.7329 0.1759 0.2551
H26 0.7341 0.9120 0.7073
H27 0.7655 0.4415 0.5879
H28 0.7722 0.6306 0.3769
H29 0.7787 0.6794 0.0859
H30 0.7842 0.4124 0.8831
H31 0.8995 0.3048 0.7708
H32 0.9120 0.7341 0.2073
O1 0.1234 0.3253 0.1171
O2 0.1889 0.7783 0.8417
O3 0.2195 0.6457 0.5905
O4 0.2627 0.3582 0.3608
O5 0.3069 0.9102 0.3602
O6 0.3253 0.1234 0.6171
O7 0.3381 0.9026 0.1209
O8 0.3582 0.2627 0.8608
O9 0.5639 0.5698 0.9134
O10 0.5698 0.5639 0.4134
O11 0.5855 0.5938 0.0473
O12 0.5938 0.5855 0.5473
O13 0.6457 0.2195 0.0905
O14 0.6739 0.9044 0.8594
O15 0.7328 0.9131 0.6189
O16 0.7783 0.1889 0.3417
O17 0.9026 0.3381 0.6209
O18 0.9044 0.6739 0.3594
O19 0.9102 0.3069 0.8602
O20 0.9131 0.7328 0.1189

The 10 most intense peaks (2θ = 5–70°), low angle first:
two_theta, d [Å], I/Imax
13.65, 6.488, 100.0
15.93, 5.563, 92.2
17.38, 5.103, 45.5
20.01, 4.436, 40.2
21.14, 4.202, 32.3
21.80, 4.076, 47.0
26.58, 3.353, 64.0
28.32, 3.152, 53.6
30.56, 2.926, 84.1
33.83, 2.649, 38.3

---

The following is a simulated PXRD pattern of SrH16O10. It was derived from a DFT-relaxed cell (GGA-PBE, Alexandria), using λ = 1.5418 Å (Cu Kα).

Structural model:
abc: 6.4426 6.4426 11.1405
angles: 91.14 91.14 90.93
Element x y z (fractional)
Sr1 0.0105 0.9895 0.5000
Sr2 0.9895 0.0105 0.0000
H1 0.0521 0.5695 0.3723
H2 0.0716 0.3907 0.5146
H3 0.1155 0.3227 0.7794
H4 0.1568 0.7003 0.2149
H5 0.2749 0.3778 0.8863
H6 0.2795 0.6219 0.1009
H7 0.2909 0.4173 0.5861
H8 0.2975 0.6115 0.3936
H9 0.3227 0.1155 0.2794
H10 0.3251 0.8773 0.7964
H11 0.3778 0.2749 0.3863
H12 0.3907 0.0716 0.0146
H13 0.3981 0.7276 0.9025
H14 0.4000 0.7396 0.6066
H15 0.4173 0.2909 0.0861
H16 0.4638 0.9766 0.6224
H17 0.5695 0.0521 0.8723
H18 0.5693 0.9684 0.1316
H19 0.6115 0.2975 0.8936
H20 0.6165 0.7287 0.1055
H21 0.6219 0.2795 0.6009
H22 0.6360 0.7136 0.3958
H23 0.7003 0.1568 0.7149
H24 0.7112 0.8475 0.2852
H25 0.7136 0.6360 0.8958
H26 0.7276 0.3981 0.4025
H27 0.7287 0.6165 0.6055
H28 0.7396 0.4000 0.1066
H29 0.8475 0.7112 0.7852
H30 0.8773 0.3251 0.2964
H31 0.9684 0.5693 0.6316
H32 0.9766 0.4638 0.1224
O1 0.1376 0.3623 0.5930
O2 0.1439 0.6856 0.1256
O3 0.1525 0.2865 0.8616
O4 0.1601 0.6808 0.3711
O5 0.2865 0.1525 0.3616
O6 0.3419 0.8724 0.8854
O7 0.3434 0.8784 0.6320
O8 0.3623 0.1376 0.0930
O9 0.4962 0.5063 0.9321
O10 0.5047 0.5076 0.0666
O11 0.5063 0.4962 0.4321
O12 0.5076 0.5047 0.5666
O13 0.6808 0.1601 0.8711
O14 0.6841 0.8674 0.1315
O15 0.6856 0.1439 0.6256
O16 0.7225 0.8379 0.3740
O17 0.8379 0.7225 0.8740
O18 0.8674 0.6841 0.6315
O19 0.8724 0.3419 0.3854
O20 0.8784 0.3434 0.1320

The 10 most intense peaks (2θ = 5–70°), low angle first:
two_theta, d [Å], I/Imax
13.75, 6.440, 75.0
15.92, 5.568, 100.0
19.33, 4.592, 33.3
25.14, 3.543, 65.9
25.75, 3.460, 32.2
31.82, 2.812, 47.1
32.40, 2.763, 35.9
39.24, 2.296, 32.0
42.52, 2.126, 38.1
44.74, 2.026, 46.0

---

The following is a simulated PXRD pattern of SrH16O10. It was derived from a DFT-relaxed cell (GGA-PBE, Alexandria), using λ = 1.5418 Å (Cu Kα).

Structural model:
abc: 6.2293 6.2293 6.8886
angles: 90.19 90.19 90.02
Element x y z (fractional)
Sr1 0.0000 0.0000 0.0000
H1 0.0721 0.7357 0.3143
H2 0.0777 0.2633 0.6866
H3 0.2578 0.0722 0.3204
H4 0.2643 0.9279 0.6857
H5 0.3237 0.3237 0.3180
H6 0.3238 0.6718 0.3142
H7 0.3282 0.6762 0.6858
H8 0.3287 0.3279 0.6890
H9 0.6713 0.3233 0.3147
H10 0.6721 0.6713 0.3110
H11 0.6763 0.6763 0.6820
H12 0.6767 0.3287 0.6853
H13 0.7367 0.9223 0.3134
H14 0.7431 0.0779 0.6808
H15 0.9221 0.2569 0.3192
H16 0.9278 0.7422 0.6796
O1 0.2137 0.2140 0.2709
O2 0.2140 0.7804 0.2658
O3 0.2192 0.2197 0.7379
O4 0.2196 0.7860 0.7342
O5 0.4984 0.4982 0.3914
O6 0.5018 0.5016 0.6086
O7 0.7803 0.7808 0.2621
O8 0.7808 0.2139 0.2670
O9 0.7861 0.2192 0.7330
O10 0.7860 0.7863 0.7291

The 10 most intense peaks (2θ = 5–70°), low angle first:
two_theta, d [Å], I/Imax
14.22, 6.229, 50.7
19.21, 4.620, 100.0
20.16, 4.405, 61.6
23.96, 3.714, 11.6
31.52, 2.838, 13.9
34.71, 2.584, 36.7
38.92, 2.314, 29.0
39.06, 2.306, 29.6
40.98, 2.202, 27.2
41.76, 2.163, 12.0

---

The following is a simulated PXRD pattern of SrH16O10. It was derived from a DFT-relaxed cell (GGA-PBE, Alexandria), using λ = 1.5418 Å (Cu Kα).

Structural model:
abc: 6.2417 6.5168 11.2391
angles: 88.43 89.66 88.02
Element x y z (fractional)
Sr1 0.0000 0.0000 0.0000
Sr2 0.0170 0.0203 0.4982
H1 0.0148 0.5517 0.1387
H2 0.0399 0.2746 0.1489
H3 0.0478 0.4602 0.8797
H4 0.1278 0.6961 0.2935
H5 0.1567 0.3275 0.7165
H6 0.2549 0.6255 0.1184
H7 0.2795 0.6141 0.3978
H8 0.2877 0.3880 0.9012
H9 0.2895 0.4009 0.6024
H10 0.2987 0.1372 0.2727
H11 0.3305 0.8747 0.7209
H12 0.3629 0.2609 0.1069
H13 0.4074 0.7355 0.9008
H14 0.4085 0.7416 0.6106
H15 0.4579 0.0678 0.3753
H16 0.4629 0.9720 0.8832
H17 0.5044 0.9923 0.1250
H18 0.5571 0.0494 0.6224
H19 0.6059 0.7632 0.1088
H20 0.6197 0.2821 0.8960
H21 0.6238 0.2834 0.6032
H22 0.6442 0.7791 0.3960
H23 0.6579 0.4537 0.4148
H24 0.6816 0.4304 0.0903
H25 0.6906 0.1504 0.7819
H26 0.6971 0.9072 0.2773
H27 0.7442 0.6187 0.8970
H28 0.7440 0.6321 0.6106
H29 0.8656 0.3407 0.2817
H30 0.8800 0.6997 0.7843
H31 0.9680 0.4617 0.3880
H32 0.9889 0.5721 0.6230
O1 0.1108 0.6813 0.1370
O2 0.1329 0.6737 0.3818
O3 0.1473 0.3366 0.8733
O4 0.1486 0.3430 0.6278
O5 0.2910 0.1338 0.1291
O6 0.3137 0.1325 0.3632
O7 0.3434 0.8745 0.8756
O8 0.3461 0.8812 0.6321
O9 0.5253 0.5062 0.9379
O10 0.5247 0.5208 0.5725
O11 0.5336 0.5541 0.4423
O12 0.5370 0.5045 0.0704
O13 0.6466 0.9048 0.1272
O14 0.6765 0.1420 0.8707
O15 0.6809 0.1423 0.6288
O16 0.7036 0.9115 0.3665
O17 0.8644 0.3501 0.3761
O18 0.8856 0.6814 0.8731
O19 0.8864 0.6923 0.6311
O20 0.8983 0.3501 0.1506

The 10 most intense peaks (2θ = 5–70°), low angle first:
two_theta, d [Å], I/Imax
13.60, 6.511, 53.5
14.20, 6.238, 54.5
15.78, 5.617, 100.0
20.05, 4.429, 27.5
24.79, 3.592, 44.8
25.39, 3.508, 89.6
25.80, 3.453, 42.9
31.38, 2.851, 44.5
43.70, 2.072, 31.4
45.33, 2.001, 30.0

---

The following is a simulated PXRD pattern of SrH16O10. It was derived from a DFT-relaxed cell (GGA-PBE, Alexandria), using λ = 1.5418 Å (Cu Kα).

Structural model:
abc: 6.3249 6.3249 11.1637
angles: 90.31 90.31 89.96
Element x y z (fractional)
Sr1 0.0020 0.9980 0.7500
Sr2 0.9980 0.0020 0.2500
H1 0.0311 0.4508 0.6291
H2 0.0316 0.5490 0.1289
H3 0.1403 0.6849 0.9676
H4 0.1408 0.3165 0.4678
H5 0.2738 0.3895 0.6477
H6 0.2746 0.6088 0.1472
H7 0.2776 0.6092 0.8547
H8 0.2787 0.3925 0.3554
H9 0.3151 0.8598 0.5324
H10 0.3165 0.1408 0.9678
H11 0.3895 0.2738 0.1477
H12 0.3908 0.7224 0.6453
H13 0.3912 0.7254 0.3528
H14 0.3925 0.2787 0.8554
H15 0.4508 0.0311 0.1291
H16 0.4510 0.9684 0.3711
H17 0.5490 0.0316 0.6289
H18 0.5492 0.9689 0.8709
H19 0.6075 0.7213 0.1446
H20 0.6088 0.2746 0.6472
H21 0.6092 0.2776 0.3547
H22 0.6105 0.7262 0.8523
H23 0.6835 0.8592 0.0322
H24 0.6849 0.1403 0.4676
H25 0.7213 0.6075 0.6446
H26 0.7224 0.3908 0.1453
H27 0.7254 0.3912 0.8528
H28 0.7262 0.6105 0.3523
H29 0.8592 0.6835 0.5322
H30 0.8598 0.3151 0.0323
H31 0.9684 0.4510 0.8711
H32 0.9689 0.5492 0.3709
O1 0.1309 0.3279 0.6234
O2 0.1320 0.6709 0.1230
O3 0.1348 0.6707 0.8782
O4 0.1361 0.3312 0.3785
O5 0.3279 0.1309 0.1234
O6 0.3293 0.8652 0.6218
O7 0.3291 0.8680 0.3770
O8 0.3312 0.1361 0.8785
O9 0.4975 0.4986 0.1830
O10 0.4986 0.4975 0.6830
O11 0.5014 0.5025 0.3170
O12 0.5025 0.5014 0.8170
O13 0.6688 0.8639 0.1215
O14 0.6709 0.1320 0.6230
O15 0.6707 0.1348 0.3782
O16 0.6721 0.8691 0.8766
O17 0.8639 0.6688 0.6215
O18 0.8652 0.3293 0.1218
O19 0.8680 0.3291 0.8770
O20 0.8691 0.6721 0.3766

The 10 most intense peaks (2θ = 5–70°), low angle first:
two_theta, d [Å], I/Imax
14.00, 6.325, 69.3
15.88, 5.582, 85.9
19.85, 4.472, 45.7
21.17, 4.196, 29.5
25.42, 3.504, 33.3
25.56, 3.486, 100.0
32.46, 2.758, 34.9
32.63, 2.744, 84.7
38.01, 2.367, 29.0
45.34, 2.000, 68.0